No. 1
Diffraction record for Pu4CdPd12. The powder diffractogram is calculated, not measured: it uses the PBE geometry in Alexandria and Cu Kα (λ = 1.5418 Å).

The 10 most intense peaks (10 to 80 degrees two-theta), by angle:
d/Å, two_theta, I_rel
3.045, 29.33, 33.4
2.486, 36.13, 100.0
2.302, 39.14, 9.4
2.153, 41.96, 60.2
1.926, 47.20, 10.0
1.836, 49.65, 8.7
1.522, 60.84, 34.1
1.362, 68.96, 11.8
1.298, 72.85, 29.3
1.243, 76.66, 9.7

Cell and atoms:
```
17
Lattice="-4.3062 4.3062 4.3062 4.3062 -4.3062 4.3062 4.3062 4.3062 -4.3062" Properties=species:S:1:pos:R:3 pbc="T T T"
Pu 2.1531 2.1531 -2.1531
Pu 2.1531 -2.1531 2.1531
Pu -2.1531 2.1531 2.1531
Pu 2.1531 2.1531 2.1531
Cd 0.0000 0.0000 0.0000
Pd 2.6229 0.0000 0.0000
Pd 5.9894 0.0000 0.0000
Pd 4.3062 2.1531 0.0000
Pd 4.3062 0.0000 2.1531
Pd 0.0000 2.6229 0.0000
Pd 0.0000 0.0000 2.6229
Pd 2.1531 4.3062 0.0000
Pd 2.1531 0.0000 4.3062
Pd 0.0000 5.9894 0.0000
Pd 0.0000 0.0000 5.9894
Pd 0.0000 4.3062 2.1531
Pd 0.0000 2.1531 4.3062
```

---

No. 2
Diffraction record for Pu2Cd2Pd3. The powder diffractogram is calculated, not measured: it uses the PBE geometry in Alexandria and Cu Kα (λ = 1.5418 Å).

The 10 most intense peaks (10 to 80 degrees two-theta), by angle:
d/Å, two_theta, I_rel
4.515, 19.66, 19.6
3.463, 25.72, 18.2
3.251, 27.43, 8.3
2.489, 36.09, 29.5
2.411, 37.30, 26.9
2.358, 38.16, 100.0
1.732, 52.87, 19.7
1.410, 66.30, 14.7
1.382, 67.79, 9.2
1.381, 67.89, 9.2

Cell and atoms:
```
7
Lattice="4.8211 0.0000 0.0000 0.0072 4.9778 0.0000 2.4033 2.4775 6.4406" Properties=species:S:1:pos:R:3 pbc="T T T"
Pu 1.2089 1.2451 1.6248
Pu 6.0227 6.2102 4.8158
Cd 3.6134 3.7204 4.7355
Cd 3.6182 3.7349 1.7051
Pd 1.2052 3.7276 3.2203
Pd 1.2083 3.7349 0.0714
Pd 6.0233 3.7204 6.3692
```

---

No. 3
Diffraction record for Pu3Cd2Pd3. The powder diffractogram is calculated, not measured: it uses the PBE geometry in Alexandria and Cu Kα (λ = 1.5418 Å).

The 10 most intense peaks (10 to 80 degrees two-theta), by angle:
d/Å, two_theta, I_rel
4.271, 20.80, 7.2
3.351, 26.60, 14.4
2.703, 33.14, 32.3
2.651, 33.81, 35.5
2.369, 37.97, 100.0
1.893, 48.07, 23.0
1.488, 62.42, 17.8
1.470, 63.26, 22.5
1.325, 71.17, 11.3
1.318, 71.59, 8.1

Cell and atoms:
```
8
Lattice="-1.5191 2.6509 10.8131 1.5191 -2.6509 10.8131 1.5191 2.6509 -10.8131" Properties=species:S:1:pos:R:3 pbc="T T T"
Pu 0.0000 0.0000 0.0000
Pu 1.5191 0.0000 8.1440
Pu 0.0000 2.6509 2.6692
Cd 0.0000 0.0000 5.0243
Cd 0.0000 0.0000 16.6019
Pd 1.5191 0.0000 2.6160
Pd 0.0000 0.0000 10.8131
Pd 0.0000 2.6509 8.1972
```

---

No. 4
Diffraction record for Pu3CdPd6. The powder diffractogram is calculated, not measured: it uses the PBE geometry in Alexandria and Cu Kα (λ = 1.5418 Å).

The 10 most intense peaks (10 to 80 degrees two-theta), by angle:
d/Å, two_theta, I_rel
3.197, 27.91, 14.7
2.921, 30.60, 33.0
2.661, 33.68, 18.3
2.582, 34.74, 24.4
2.540, 35.34, 23.7
2.438, 36.87, 49.6
2.413, 37.27, 100.0
2.347, 38.35, 43.0
2.301, 39.15, 14.2
2.117, 42.71, 15.7

Cell and atoms:
```
20
Lattice="3.4948 -7.6633 0.0000 3.4948 7.6633 0.0000 0.0000 0.0000 7.3966" Properties=species:S:1:pos:R:3 pbc="T T T"
Pu 3.4948 7.2041 3.6983
Pu 1.9579 2.0005 2.6457
Pu 1.9579 -2.0005 6.3440
Pu 5.0317 2.0005 2.6457
Pu 5.0317 -2.0005 6.3440
Pu 3.4948 -7.2041 0.0000
Cd 3.4948 3.2148 5.5593
Cd 3.4948 -3.2148 1.8610
Pd 1.3876 2.9692 7.3318
Pd 3.4948 4.7234 1.0125
Pd 2.0166 0.8728 5.3272
Pd 2.0166 -0.8728 1.6289
Pd 1.3876 -2.9692 3.6335
Pd 3.4948 1.0425 0.3111
Pd 3.4948 -1.0425 4.0094
Pd 5.6020 2.9692 7.3318
Pd 4.9730 0.8728 5.3272
Pd 4.9730 -0.8728 1.6289
Pd 3.4948 -4.7234 4.7108
Pd 5.6020 -2.9692 3.6335
```

---

No. 5
Diffraction record for PuCdPd4. The powder diffractogram is calculated, not measured: it uses the PBE geometry in Alexandria and Cu Kα (λ = 1.5418 Å).

The 10 most intense peaks (10 to 80 degrees two-theta), by angle:
d/Å, two_theta, I_rel
4.400, 20.18, 5.7
3.811, 23.34, 6.0
2.695, 33.25, 42.9
2.298, 39.20, 100.0
2.200, 41.02, 26.6
1.704, 53.79, 2.8
1.556, 59.41, 16.4
1.467, 63.41, 32.3
1.347, 69.80, 24.8
1.205, 79.54, 7.1

Cell and atoms:
```
6
Lattice="0.0000 3.8109 3.8109 3.8109 0.0000 3.8109 3.8109 3.8109 0.0000" Properties=species:S:1:pos:R:3 pbc="T T T"
Pu 0.0000 0.0000 0.0000
Cd 5.7163 5.7163 5.7163
Pd 2.8609 2.8609 2.8609
Pd 4.7609 4.7609 2.8609
Pd 4.7609 2.8609 4.7609
Pd 2.8609 4.7609 4.7609
```

---

No. 6
Diffraction record for Pu2CdPd6. The powder diffractogram is calculated, not measured: it uses the PBE geometry in Alexandria and Cu Kα (λ = 1.5418 Å).

The 10 most intense peaks (10 to 80 degrees two-theta), by angle:
d/Å, two_theta, I_rel
3.858, 23.05, 15.8
3.044, 29.34, 16.4
2.880, 31.05, 16.1
2.600, 34.49, 74.3
2.494, 36.01, 15.4
2.308, 39.03, 100.0
1.929, 47.11, 18.4
1.603, 57.49, 22.2
1.440, 64.74, 20.7
1.381, 67.86, 14.5

Cell and atoms:
```
9
Lattice="5.7597 0.0000 0.0000 -2.8799 4.9881 0.0000 0.0000 0.0000 6.0877" Properties=species:S:1:pos:R:3 pbc="T T T"
Pu 0.0000 3.3254 1.1501
Pu 2.8799 1.6627 4.9376
Cd 0.0000 0.0000 0.0000
Pd 0.0000 1.7572 4.1065
Pd -1.3580 4.1094 4.1065
Pd 1.5218 0.8786 1.9812
Pd 1.3580 4.1094 4.1065
Pd 4.2379 0.8786 1.9812
Pd 2.8799 3.2308 1.9812
```

---

No. 7
Diffraction record for Pu2Cd2Pd. The powder diffractogram is calculated, not measured: it uses the PBE geometry in Alexandria and Cu Kα (λ = 1.5418 Å).

The 10 most intense peaks (10 to 80 degrees two-theta), by angle:
d/Å, two_theta, I_rel
4.045, 21.97, 32.8
3.208, 27.81, 34.7
2.954, 30.26, 17.4
2.544, 35.28, 100.0
2.357, 38.18, 47.6
1.842, 49.47, 18.2
1.667, 55.10, 16.5
1.511, 61.35, 11.4
1.506, 61.59, 13.2
1.394, 67.14, 30.7

Cell and atoms:
```
10
Lattice="-2.3570 2.3570 11.8148 2.3570 -2.3570 11.8148 2.3570 2.3570 -11.8148" Properties=species:S:1:pos:R:3 pbc="T T T"
Pu 2.3570 1.1785 -4.6192
Pu 0.0000 1.1785 1.2882
Pu 2.3570 1.1785 10.5267
Pu 0.0000 1.1785 16.4341
Cd 2.3570 1.1785 -1.1780
Cd 0.0000 1.1785 4.7294
Cd 2.3570 1.1785 7.0854
Cd 0.0000 1.1785 12.9928
Pd 2.3570 1.1785 2.9537
Pd 0.0000 1.1785 8.8611
```

---

No. 8
Diffraction record for Pu3Cd3Pd4. The powder diffractogram is calculated, not measured: it uses the PBE geometry in Alexandria and Cu Kα (λ = 1.5418 Å).

The 10 most intense peaks (10 to 80 degrees two-theta), by angle:
d/Å, two_theta, I_rel
2.713, 33.02, 44.7
2.557, 35.09, 89.6
2.545, 35.27, 100.0
2.377, 37.86, 34.8
2.362, 38.10, 33.5
1.967, 46.14, 27.6
1.653, 55.60, 15.0
1.515, 61.15, 17.0
1.512, 61.33, 16.5
1.316, 71.73, 15.1

Cell and atoms:
```
10
Lattice="3.9347 0.0000 0.0000 0.0000 5.2705 5.3254 0.0000 -5.2705 5.3254" Properties=species:S:1:pos:R:3 pbc="T T T"
Pu 0.0000 0.0000 0.0000
Pu 0.0000 -1.7581 7.0400
Pu 0.0000 1.7581 7.0400
Cd 0.0000 0.0000 3.5253
Cd 1.9674 -2.6194 4.4106
Cd 1.9674 2.6194 4.4106
Pd 1.9674 -1.3940 1.7812
Pd 1.9674 1.3940 1.7812
Pd 1.9674 0.0000 5.5894
Pd 1.9674 0.0000 8.4810
```